[1]
Computed PXRD pattern
Compound: MgIn4P
Radiation: Cu Ka
Structure: a cell relaxed with PBE
Intensities are scaled so that the largest is 100.

Structural model:
a b c (Å): 6.0591 6.0591 6.0591
angles (deg): 60.00 60.00 60.00
Sites, in units of the cell vectors:
Mg 0.0000 0.0000 0.0000
In 0.3753 0.3753 0.3753
In 0.3753 0.3753 0.8742
In 0.3753 0.8742 0.3753
In 0.8742 0.3753 0.3753
P 0.7500 0.7500 0.7500

Principal peaks in the range 2θ = 15–90°, by angle:
Position (°2θ), I_rel
17.9, 84
34.7, 100
36.3, 86
42.2, 33
46.2, 22
55.7, 33
61.2, 34
64.3, 16
73.3, 31
87.4, 21



[2]
Computed PXRD pattern
Compound: MgPaInSn
Radiation: Cu Ka
Structure: a cell relaxed with PBE
Intensities are scaled so that the largest is 100.

Structural model:
a b c (Å): 4.4218 4.6272 4.8126
angles (deg): 90.00 90.00 90.00
Sites, in units of the cell vectors:
Mg 0.0000 0.0000 0.0000
Pa 0.0000 0.5000 0.5000
In 0.5000 0.5000 0.0000
Sn 0.5000 0.0000 0.5000

Principal peaks in the range 2θ = 15–90°, by angle:
Position (°2θ), I_rel
18.4, 18
19.2, 16
27.4, 13
27.9, 14
33.7, 100
37.4, 19
38.9, 17
40.8, 15
65.1, 15
67.2, 14



[3]
Computed PXRD pattern
Compound: MgIn5Pb
Radiation: Cu Ka
Structure: a cell relaxed with PBE
Intensities are scaled so that the largest is 100.

Structural model:
a b c (Å): 7.9933 7.9933 7.9933
angles (deg): 110.28 108.52 109.62
Sites, in units of the cell vectors:
Mg 0.5000 0.0000 0.0000
Mg 0.5000 0.5000 0.5000
In 0.0000 0.2465 0.2465
In 0.0000 0.7535 0.7535
In 0.2285 0.9785 0.2500
In 0.2550 0.2462 0.0087
In 0.2625 0.7538 0.5087
In 0.5000 0.2465 0.7465
In 0.5000 0.7535 0.2535
In 0.7375 0.2462 0.4913
In 0.7450 0.7538 0.9913
In 0.7715 0.0215 0.7500
Pb 0.2266 0.4766 0.7500
Pb 0.7734 0.5234 0.2500

Principal peaks in the range 2θ = 15–90°, by angle:
Position (°2θ), I_rel
19.3, 12
19.4, 13
27.3, 12
33.6, 100
38.6, 18
39.1, 15
39.4, 17
56.3, 11
66.6, 13
67.9, 13



[4]
Computed PXRD pattern
Compound: Mg4In6Pb
Radiation: Cu Ka
Structure: a cell relaxed with PBE
Intensities are scaled so that the largest is 100.

Structural model:
a b c (Å): 8.5882 8.5882 8.5882
angles (deg): 136.34 136.34 63.45
Sites, in units of the cell vectors:
Mg 0.1220 0.1220 0.5813
Mg 0.4593 0.8780 0.0000
Mg 0.5407 0.5407 0.4187
Mg 0.8780 0.4593 0.0000
In 0.0000 0.5000 0.5000
In 0.0493 0.6856 0.0000
In 0.3144 0.3144 0.3637
In 0.5000 0.0000 0.5000
In 0.6856 0.0493 0.0000
In 0.9507 0.9507 0.6363
Pb 0.5000 0.5000 0.0000

Principal peaks in the range 2θ = 15–90°, by angle:
Position (°2θ), I_rel
23.0, 63
23.2, 53
30.6, 75
31.9, 79
33.7, 22
37.4, 100
39.9, 35
41.9, 24
42.9, 25
44.4, 23